(1)
Sb6PdS8I4: computed X-ray diffraction stick pattern (Cu Kα (λ = 1.5418 Å)), based on a cell relaxed with PBE.
Lines closer than 0.1° are merged.

The 10 most intense peaks (10 to 80 degrees two-theta), low angle first:
- 6.456 Å, 2θ 13.72, intensity 957, hkl 0 1 -1
- 5.479 Å, 2θ 16.18, intensity 394, hkl -1 1 1
- 4.092 Å, 2θ 21.72, intensity 357, hkl 1 0 -2
- 3.511 Å, 2θ 25.37, intensity 439, hkl 2 0 0
- 3.237 Å, 2θ 27.55, intensity 411, hkl 1 1 2
- 3.192 Å, 2θ 27.95, intensity 648, hkl 0 0 3
- 3.119 Å, 2θ 28.62, intensity 472, hkl -2 2 1
- 2.949 Å, 2θ 30.31, intensity 607, hkl 1 -3 0
- 2.851 Å, 2θ 31.38, intensity 1000, hkl 2 1 -1
- 2.834 Å, 2θ 31.56, intensity 566, hkl 1 0 3

Structure:
a b c (Å): 7.437 8.875 9.610
angles (deg): 91.30 93.37 108.84
Space group P-1 (No. 2)
Inequivalent atoms, fractional coordinates:
Sb: 0.222 0.414 0.401 x2
Sb: 0.230 0.123 0.128 x2
Sb: 0.231 0.820 0.792 x2
Pd: 0.000 0.000 0.500 x1
S: 0.080 0.371 0.144 x2
S: 0.103 0.051 0.838 x2
S: 0.109 0.779 0.532 x2
S: 0.287 0.154 0.410 x2
I: 0.341 0.827 0.146 x2
I: 0.384 0.490 0.744 x2

(2)
TePdI7: computed X-ray diffraction stick pattern (Cu Kα (λ = 1.5418 Å)), based on a cell relaxed with PBE.
Lines closer than 0.1° are merged.

The 10 most intense peaks (10 to 80 degrees two-theta), low angle first:
- 8.430 Å, 2θ 10.49, intensity 449, hkl 0 0 2
- 6.715 Å, 2θ 13.18, intensity 441, hkl 1 0 0
- 5.591 Å, 2θ 15.85, intensity 348, hkl 0 1 2
- 4.994 Å, 2θ 17.76, intensity 613, hkl 1 1 0
- 4.468 Å, 2θ 19.87, intensity 594, hkl 1 1 1
- 3.313 Å, 2θ 26.91, intensity 1000, hkl 1 1 3
- 3.234 Å, 2θ 27.58, intensity 779, hkl 1 1 -5
- 3.063 Å, 2θ 29.16, intensity 322, hkl 2 1 0
- 2.595 Å, 2θ 34.56, intensity 313, hkl 2 2 -2
- 2.144 Å, 2θ 42.14, intensity 288, hkl 0 3 4

Structure:
a b c (Å): 7.219 7.472 18.124
angles (deg): 90.00 111.53 90.00
Space group Pc (No. 7)
Inequivalent atoms, fractional coordinates:
Te: 0.000 0.041 0.000 x2
Pd: 0.741 0.491 0.855 x2
I: 0.245 0.208 0.450 x2
I: 0.333 0.231 0.104 x2
I: 0.557 0.211 0.359 x2
I: 0.710 0.356 0.984 x2
I: 0.750 0.389 0.220 x2
I: 0.916 0.129 0.623 x2
I: 0.974 0.234 0.844 x2

(3)
PmI2: computed X-ray diffraction stick pattern (Cu Kα (λ = 1.5418 Å)), based on a cell relaxed with PBE.
Lines closer than 0.1° are merged.

The 10 most intense peaks (10 to 80 degrees two-theta), low angle first:
- 8.137 Å, 2θ 10.87, intensity 747, hkl 0 0 2
- 3.549 Å, 2θ 25.09, intensity 310, hkl 0 2 1
- 3.322 Å, 2θ 26.84, intensity 1000, hkl 1 1 2
- 3.022 Å, 2θ 29.56, intensity 907, hkl 1 1 3
- 2.711 Å, 2θ 33.04, intensity 422, hkl 0 2 4
- 2.426 Å, 2θ 37.06, intensity 495, hkl 1 1 5
- 2.175 Å, 2θ 41.52, intensity 308, hkl 1 1 6
- 2.083 Å, 2θ 43.45, intensity 491, hkl 1 3 1
- 1.661 Å, 2θ 55.32, intensity 278, hkl 0 4 4
- 1.370 Å, 2θ 68.47, intensity 245, hkl 1 3 9

Structure:
a b c (Å): 4.204 7.271 16.275
angles (deg): 90.00 90.00 90.00
Space group Cmce (No. 64)
Inequivalent atoms, fractional coordinates:
Pm: 0.000 0.000 0.000 x4
I: 0.000 0.166 0.375 x8

(4)
PmPrSe2I2: computed X-ray diffraction stick pattern (Cu Kα (λ = 1.5418 Å)), based on a cell relaxed with PBE.
Lines closer than 0.1° are merged.

The 10 most intense peaks (10 to 80 degrees two-theta), low angle first:
- 3.547 Å, 2θ 25.11, intensity 566, hkl 1 1 0
- 3.227 Å, 2θ 27.65, intensity 396, hkl 1 1 1
- 3.072 Å, 2θ 29.07, intensity 1000, hkl 1 0 2
- 2.620 Å, 2θ 34.23, intensity 437, hkl 1 1 2
- 2.508 Å, 2θ 35.80, intensity 759, hkl 2 0 0
- 2.302 Å, 2θ 39.14, intensity 316, hkl 1 0 3
- 1.943 Å, 2θ 46.76, intensity 535, hkl 2 1 2
- 1.773 Å, 2θ 51.53, intensity 265, hkl 2 2 0
- 1.696 Å, 2θ 54.08, intensity 245, hkl 2 1 3
- 1.469 Å, 2θ 63.33, intensity 202, hkl 3 1 2

Structure:
a b c (Å): 5.016 5.016 7.771
angles (deg): 90.00 90.00 90.00
Space group P4mm (No. 99)
Inequivalent atoms, fractional coordinates:
Pm: 0.000 0.000 0.000 x1
Pr: 0.500 0.500 0.392 x1
Se: 0.000 0.500 0.192 x2
I: 0.000 0.000 0.582 x1
I: 0.500 0.500 0.811 x1

(5)
Pm4SiI5: computed X-ray diffraction stick pattern (Cu Kα (λ = 1.5418 Å)), based on a cell relaxed with PBE.
Lines closer than 0.1° are merged.

The 10 most intense peaks (10 to 80 degrees two-theta), low angle first:
- 8.804 Å, 2θ 10.05, intensity 189, hkl 0 0 1
- 3.175 Å, 2θ 28.10, intensity 486, hkl 6 0 0
- 3.164 Å, 2θ 28.20, intensity 145, hkl 3 1 1
- 3.108 Å, 2θ 28.72, intensity 1000, hkl 1 1 -2
- 2.849 Å, 2θ 31.40, intensity 162, hkl 5 1 0
- 2.256 Å, 2θ 39.97, intensity 174, hkl 2 0 -4
- 2.231 Å, 2θ 40.43, intensity 349, hkl 5 1 2
- 2.212 Å, 2θ 40.79, intensity 331, hkl 7 1 -2
- 2.145 Å, 2θ 42.14, intensity 185, hkl 0 2 0
- 1.777 Å, 2θ 51.42, intensity 191, hkl 6 2 0

Structure:
a b c (Å): 19.526 4.289 9.024
angles (deg): 90.00 102.66 90.00
Space group C2/m (No. 12)
Inequivalent atoms, fractional coordinates:
Pm: 0.000 0.000 0.213 x4
Pm: 0.147 0.500 0.074 x4
Si: 0.000 0.500 0.000 x2
I: 0.000 0.500 0.500 x2
I: 0.166 0.000 0.337 x4
I: 0.171 0.000 0.827 x4

(6)
Pr3Si2S8I: computed X-ray diffraction stick pattern (Cu Kα (λ = 1.5418 Å)), based on a cell relaxed with PBE.
Lines closer than 0.1° are merged.

The 10 most intense peaks (10 to 80 degrees two-theta), low angle first:
- 5.405 Å, 2θ 16.40, intensity 1000, hkl 0 0 2
- 3.961 Å, 2θ 22.44, intensity 371, hkl 4 0 0
- 3.917 Å, 2θ 22.70, intensity 386, hkl 3 1 1
- 3.712 Å, 2θ 23.97, intensity 682, hkl 0 2 1
- 3.436 Å, 2θ 25.93, intensity 614, hkl 4 0 -2
- 3.049 Å, 2θ 29.29, intensity 378, hkl 2 2 -2
- 2.779 Å, 2θ 32.21, intensity 769, hkl 4 2 -1
- 2.395 Å, 2θ 37.56, intensity 484, hkl 4 0 -4
- 2.360 Å, 2θ 38.13, intensity 370, hkl 3 3 0
- 2.326 Å, 2θ 38.72, intensity 398, hkl 4 2 -3

Structure:
a b c (Å): 16.035 7.904 10.918
angles (deg): 90.00 98.08 90.00
Space group C2/c (No. 15)
Inequivalent atoms, fractional coordinates:
Pr: 0.000 0.098 0.250 x4
Pr: 0.199 0.377 0.681 x8
Si: 0.160 0.037 0.029 x8
S: 0.068 0.154 0.543 x8
S: 0.145 0.245 0.147 x8
S: 0.150 0.099 0.838 x8
S: 0.218 0.431 0.414 x8
I: 0.000 0.487 0.750 x4

(7)
PrYSbI2: computed X-ray diffraction stick pattern (Cu Kα (λ = 1.5418 Å)), based on a cell relaxed with PBE.
Lines closer than 0.1° are merged.

The 10 most intense peaks (10 to 80 degrees two-theta), low angle first:
- 3.628 Å, 2θ 24.53, intensity 109, hkl 0 1 1
- 3.179 Å, 2θ 28.07, intensity 1000, hkl 1 0 2
- 2.699 Å, 2θ 33.19, intensity 79, hkl 1 0 3
- 2.289 Å, 2θ 39.37, intensity 365, hkl 0 1 4
- 2.209 Å, 2θ 40.85, intensity 347, hkl 1 1 0
- 1.814 Å, 2θ 50.29, intensity 195, hkl 0 2 2
- 1.589 Å, 2θ 58.03, intensity 124, hkl 2 0 4
- 1.442 Å, 2θ 64.62, intensity 143, hkl 1 1 6
- 1.402 Å, 2θ 66.71, intensity 165, hkl 2 1 2
- 1.290 Å, 2θ 73.38, intensity 113, hkl 1 2 4

Structure:
a b c (Å): 4.4185 4.4185 11.4238
angles (deg): 90.00 90.00 120.00
Space group P3m1 (No. 156)
Inequivalent atoms, fractional coordinates:
Pr: 0.0000 0.0000 0.0000 x1
Y: 0.6667 0.3333 0.6964 x1
Sb: 0.3333 0.6667 0.8396 x1
I: 0.0000 0.0000 0.5286 x1
I: 0.6667 0.3333 0.1793 x1

(8)
Rb2PtI6: computed X-ray diffraction stick pattern (Cu Kα (λ = 1.5418 Å)), based on a cell relaxed with PBE.
Lines closer than 0.1° are merged.

The 10 most intense peaks (10 to 80 degrees two-theta), low angle first:
- 6.588 Å, 2θ 13.44, intensity 642, hkl 1 0 1
- 5.662 Å, 2θ 15.65, intensity 248, hkl 1 1 0
- 3.421 Å, 2θ 26.05, intensity 217, hkl 1 2 1
- 3.294 Å, 2θ 27.07, intensity 1000, hkl 2 0 2
- 2.898 Å, 2θ 30.86, intensity 426, hkl 0 0 4
- 2.831 Å, 2θ 31.61, intensity 761, hkl 2 2 0
- 2.025 Å, 2θ 44.76, intensity 554, hkl 2 2 4
- 2.002 Å, 2θ 45.31, intensity 255, hkl 4 0 0
- 1.711 Å, 2θ 53.57, intensity 217, hkl 2 4 2
- 1.647 Å, 2θ 55.82, intensity 263, hkl 4 0 4

Structure:
a b c (Å): 8.007 8.007 11.591
angles (deg): 90.00 90.00 90.00
Space group I4/m (No. 87)
Inequivalent atoms, fractional coordinates:
Rb: 0.000 0.500 0.250 x4
Pt: 0.000 0.000 0.000 x2
I: 0.000 0.000 0.234 x4
I: 0.217 0.260 0.000 x8